Calculated powder diffraction line list of Cs2TlMoO4 for Cu Kα, from a crystal structure in Alexandria, relaxed with PBE+U.
No peak broadening, texture or thermal motion is included.

Crystal structure
abc: 12.9036 11.6490 7.5008
angles: 81.62 63.27 35.11
Element x y z (fractional)
Cs1 0.0670 0.0670 0.6830
Cs2 0.3170 0.3170 0.9330
Cs3 0.6830 0.6830 0.0670
Cs4 0.9330 0.9330 0.3170
Tl1 0.1250 0.1250 0.1250
Tl2 0.8750 0.8750 0.8750
Mo1 0.3750 0.3750 0.3750
Mo2 0.6250 0.6250 0.6250
O1 0.0999 0.5613 0.4874
O2 0.3514 0.4874 0.5613
O3 0.4387 0.9001 0.6486
O4 0.4874 0.3514 0.0999
O5 0.5126 0.6486 0.9001
O6 0.5613 0.0999 0.3514
O7 0.6486 0.5126 0.4387
O8 0.9001 0.4387 0.5126

Largest 6 diffraction maxima, sorted by position, 15° ≤ 2θ ≤ 90°:
| Position (°2θ) | d_spacing | I (rel.) |
| --- | --- | --- |
| 15.98 | 5.545 | 85.7 |
| 24.58 | 3.622 | 48.5 |
| 27.03 | 3.299 | 52.6 |
| 27.66 | 3.225 | 70.8 |
| 28.44 | 3.138 | 100.0 |
| 32.79 | 2.731 | 47.9 |